No. 1
For KGa, a structure optimized by DFT (GGA-PBE) gives the computed X-ray diffraction stick pattern in this record (copper Kα).
Kinematic intensities with the Lorentz-polarization factor, no thermal factor.

Structural model:
```
data_KGa
_chemical_formula_sum 'K2 Ga2'
_space_group_name_H-M_alt 'P -1'
_space_group_IT_number 2
_space_group_name_Hall '-P 1'
_cell_length_a 4.472
_cell_length_b 4.478
_cell_length_c 9.617
_cell_angle_alpha 78.55
_cell_angle_beta 76.87
_cell_angle_gamma 60.40
loop_
_atom_site_label
_atom_site_type_symbol
_atom_site_fract_x
_atom_site_fract_y
_atom_site_fract_z
_atom_site_occupancy
K1 K 0.096 0.066 0.237 1
Ga1 Ga 0.334 0.332 0.500 1
```

Largest 10 diffraction maxima, most intense first, 10 to 90 degrees two-theta:
2theta  intensity  hkl
27.76  100  1 0 2
28.75  58  0 0 3
28.43  50  0 1 2
38.66  46  0 0 4
40.07  43  1 -1 0
26.60  42  1 1 2
40.34  42  2 1 1
41.54  42  2 1 0
40.30  42  1 2 1
26.39  41  1 0 -1


No. 2
For CuSnS4, a structure optimized by DFT (GGA-PBE) gives the computed X-ray diffraction stick pattern in this record (copper Kα).
Kinematic intensities with the Lorentz-polarization factor, no thermal factor.

Structural model:
```
data_CuSnS4
_chemical_formula_sum 'Cu2 Sn2 S8'
_space_group_name_H-M_alt 'P 1 2/c 1'
_space_group_IT_number 13
_space_group_name_Hall '-P 2yc'
_cell_length_a 4.798
_cell_length_b 7.354
_cell_length_c 7.354
_cell_angle_alpha 90.00
_cell_angle_beta 90.09
_cell_angle_gamma 90.00
loop_
_atom_site_label
_atom_site_type_symbol
_atom_site_fract_x
_atom_site_fract_y
_atom_site_fract_z
_atom_site_occupancy
Cu1 Cu 0.000 0.250 0.250 1
Sn1 Sn 0.500 0.250 0.750 1
S1 S 0.188 0.049 0.049 1
S2 S 0.188 0.451 0.451 1
```

Largest 10 diffraction maxima, most intense first, 10 to 90 degrees two-theta:
2theta  intensity  hkl
25.25  100  1 1 1
34.50  46  0 2 2
43.23  40  1 3 1
45.12  39  2 2 0
30.63  14  1 0 -2
56.44  14  1 3 3
67.86  14  1 5 1
33.02  12  1 1 2
49.58  11  0 4 0
69.25  11  2 4 2


No. 3
For AcMgZn2Ir, a structure optimized by DFT (GGA-PBE) gives the computed X-ray diffraction stick pattern in this record (copper Kα).
Kinematic intensities with the Lorentz-polarization factor, no thermal factor.

Structural model:
```
data_AcMgZn2Ir
_chemical_formula_sum 'Ac2 Mg2 Zn4 Ir2'
_space_group_name_H-M_alt 'I m m 2'
_space_group_IT_number 44
_space_group_name_Hall 'I 2 -2'
_cell_length_a 4.164
_cell_length_b 4.252
_cell_length_c 12.166
_cell_angle_alpha 90.00
_cell_angle_beta 90.00
_cell_angle_gamma 90.00
loop_
_atom_site_label
_atom_site_type_symbol
_atom_site_fract_x
_atom_site_fract_y
_atom_site_fract_z
_atom_site_occupancy
Ac1 Ac 0.000 0.000 0.000 1
Mg1 Mg 0.000 0.500 0.769 1
Zn1 Zn 0.000 0.000 0.626 1
Zn2 Zn 0.000 0.500 0.271 1
Ir1 Ir 0.000 0.000 0.414 1
```

Largest 10 diffraction maxima, most intense first, 10 to 90 degrees two-theta:
2theta  intensity  hkl
33.53  100  1 1 2
14.56  64  0 0 2
30.04  58  1 1 0
42.52  40  0 2 0
30.46  39  0 1 3
30.78  37  1 0 3
42.82  35  0 1 5
43.06  30  1 0 5
43.47  25  2 0 0
62.66  23  2 1 5


No. 4
For La3Tb3DyTe8, a structure optimized by DFT (GGA-PBE) gives the computed X-ray diffraction stick pattern in this record (copper Kα).
Kinematic intensities with the Lorentz-polarization factor, no thermal factor.

Structural model:
```
data_La3Tb3DyTe8
_chemical_formula_sum 'La9 Tb9 Dy3 Te24'
_space_group_name_H-M_alt 'R -3 m'
_space_group_IT_number 166
_space_group_name_Hall '-R 3 2"'
_cell_length_a 8.8668
_cell_length_b 8.8668
_cell_length_c 22.0595
_cell_angle_alpha 90.00
_cell_angle_beta 90.00
_cell_angle_gamma 120.00
loop_
_atom_site_label
_atom_site_type_symbol
_atom_site_fract_x
_atom_site_fract_y
_atom_site_fract_z
_atom_site_occupancy
La1 La 0.0000 0.5000 0.0000 1
Tb1 Tb 0.0000 0.5000 0.5000 1
Dy1 Dy 0.0000 0.0000 0.5000 1
Te1 Te 0.0000 0.0000 0.2452 1
Te2 Te 0.0065 0.5032 0.7533 1
```

Largest 10 diffraction maxima, most intense first, 10 to 90 degrees two-theta:
2theta  intensity  hkl
28.32  100  0 2 4
40.27  38  2 0 8
40.70  38  2 2 0
50.33  20  4 0 4
66.64  17  2 4 4
66.02  17  2 2 12
73.78  13  4 2 8
58.59  13  0 4 8
49.59  7  0 0 12
74.08  6  6 0 0


No. 5
For Nd4Cd2InHg, a structure optimized by DFT (GGA-PBE) gives the computed X-ray diffraction stick pattern in this record (copper Kα).
Kinematic intensities with the Lorentz-polarization factor, no thermal factor.

Structural model:
```
data_Nd4Cd2InHg
_chemical_formula_sum 'Nd12 Cd6 In3 Hg3'
_space_group_name_H-M_alt 'R -3 m'
_space_group_IT_number 166
_space_group_name_Hall '-R 3 2"'
_cell_length_a 5.4564
_cell_length_b 5.4564
_cell_length_c 26.7329
_cell_angle_alpha 90.00
_cell_angle_beta 90.00
_cell_angle_gamma 120.00
loop_
_atom_site_label
_atom_site_type_symbol
_atom_site_fract_x
_atom_site_fract_y
_atom_site_fract_z
_atom_site_occupancy
Nd1 Nd 0.0000 0.0000 0.1236 1
Nd2 Nd 0.0000 0.0000 0.3737 1
Cd1 Cd 0.0000 0.0000 0.2484 1
In1 In 0.0000 0.0000 0.5000 1
Hg1 Hg 0.0000 0.0000 0.0000 1
```

Largest 10 diffraction maxima, most intense first, 10 to 90 degrees two-theta:
2theta  intensity  hkl
32.83  100  1 1 0
58.61  37  3 0 0
47.11  18  2 0 8
78.37  16  3 1 8
68.82  11  2 2 0
87.60  4  0 4 8
19.93  1  0 1 2
19.07  1  1 0 1
38.70  1  1 0 10
45.12  1  1 1 9


No. 6
For PrY5Er5, a structure optimized by DFT (GGA-PBE) gives the computed X-ray diffraction stick pattern in this record (copper Kα).
Kinematic intensities with the Lorentz-polarization factor, no thermal factor.

Structural model:
```
data_PrY5Er5
_chemical_formula_sum 'Pr1 Y5 Er5'
_space_group_name_H-M_alt 'P -6 m 2'
_space_group_IT_number 187
_space_group_name_Hall 'P -6 2'
_cell_length_a 6.0735
_cell_length_b 6.0735
_cell_length_c 11.5537
_cell_angle_alpha 90.00
_cell_angle_beta 90.00
_cell_angle_gamma 120.00
loop_
_atom_site_label
_atom_site_type_symbol
_atom_site_fract_x
_atom_site_fract_y
_atom_site_fract_z
_atom_site_occupancy
Pr1 Pr 0.0000 0.0000 0.0000 1
Y1 Y 0.0000 0.0000 0.3252 1
Y2 Y 0.3333 0.6667 0.1606 1
Y3 Y 0.6667 0.3333 0.0000 1
Er1 Er 0.0013 0.5007 0.5000 1
Er2 Er 0.6667 0.3333 0.2663 1
```

Largest 10 diffraction maxima, most intense first, 10 to 90 degrees two-theta:
2theta  intensity  hkl
28.73  100  1 0 3
29.41  81  1 1 0
37.58  71  2 0 2
34.99  46  2 0 1
35.46  40  1 0 4
33.33  39  1 1 2
51.75  37  2 1 3
30.44  36  1 1 1
37.72  35  1 1 3
61.03  35  2 2 0